Structure and theoretical XRD peak list of CaTiBi3 (a DFT-relaxed cell (GGA-PBE, Alexandria); Cu Ka).

Crystal structure
```
data_CaTiBi3
_chemical_formula_sum 'Ca4 Ti4 Bi12'
_cell_length_a 13.7540
_cell_length_b 6.5843
_cell_length_c 6.3908
_cell_angle_alpha 90.00
_cell_angle_beta 90.00
_cell_angle_gamma 90.00
_space_group_name_H-M_alt 'P b c m'
_space_group_IT_number 57
loop_
_space_group_symop_operation_xyz
'x,y,z'
'-x,-y,-z'
'-x,-y,z+1/2'
'x,y,-z+1/2'
'x,-y+1/2,-z'
'-x,y+1/2,z'
'-x,y+1/2,-z+1/2'
'x,-y+1/2,z+1/2'
loop_
_atom_site_label
_atom_site_fract_x
_atom_site_fract_y
_atom_site_fract_z
Ca1 0.1892 0.0153 0.2500
Ti1 0.4056 0.7500 0.0000
Bi1 0.0057 0.7500 0.0000
Bi2 0.2745 0.5084 0.2500
Bi3 0.4308 0.1128 0.2500
```

The 10 most intense peaks (2θ from 10° to 80°), sorted by position:
hkl	d (Å)	I/Imax
4 0 0	3.439	27
3 1 1	3.242	100
1 2 0	3.200	31
1 0 2	3.112	61
2 2 0	2.969	73
2 0 2	2.898	38
4 1 1	2.751	76
0 2 2	2.293	57
3 2 2	2.051	36
2 4 2	1.431	34